Computed X-ray powder pattern
Compound: NpZnO3F6
Radiation: Cu Kα X-rays
Structure: DFT lattice parameters and positions (GGA-PBE)
Neutral-atom scattering factors, no anomalous dispersion.

Crystal structure
```
NpZnO3F6
1.0
5.8739 -3.5887 0.0000
5.8739 3.5887 0.0000
-1.9367 0.0000 8.9669
Np Zn O F
2 2 6 12
Cartesian
0.0000 0.0000 0.0000
4.9055 -2.0486 4.4834
1.6139 -1.0696 6.7650
8.1971 -1.0696 2.2019
3.3836 0.9657 2.0758
2.2295 0.6977 6.6145
5.8739 1.7759 0.0000
4.9055 -0.2407 4.4834
6.4274 0.9657 6.8911
7.5815 0.6977 2.3524
0.3697 -0.2681 2.0013
0.0864 -0.1737 5.0628
0.0723 -0.2550 8.3489
2.8818 -1.7413 5.2270
2.9263 -1.8049 8.2979
4.4692 -1.7715 2.4909
5.3418 -1.7715 6.4760
6.8847 -1.8049 0.6690
9.7387 -0.2550 0.6180
6.9292 -1.7413 3.7399
9.7246 -0.1737 3.9041
9.4413 -0.2681 6.9656
```

Largest 10 diffraction maxima, by angle, 10 to 80 degrees two-theta:
two_theta, I (rel.)
14.6, 100
15.4, 30
18.5, 74
22.4, 43
23.3, 27
26.0, 18
26.4, 45
26.8, 24
27.7, 24
44.1, 18